This entry pairs a crystal structure of TlHC2O4 with its simulated powder XRD pattern. Radiation: Cu Ka. Structure: a crystal structure in the Materials Project, relaxed with GGA-PBE.
Neutral-atom scattering factors, no anomalous dispersion.

```
data_TlHC2O4
_chemical_formula_sum 'Tl4 H4 C8 O16'
_symmetry_space_group_name_H-M 'P 1 21/c 1'
_symmetry_Int_Tables_number 14
_cell_length_a 10.450
_cell_length_b 6.641
_cell_length_c 6.498
_cell_angle_alpha 90.00
_cell_angle_beta 95.15
_cell_angle_gamma 90.00
loop_
_symmetry_equiv_pos_as_xyz
'x,y,z'
'-x,-y,-z'
'-x,y+1/2,-z+1/2'
'x,-y+1/2,z+1/2'
loop_
_atom_site_label
_atom_site_type_symbol
_atom_site_fract_x
_atom_site_fract_y
_atom_site_fract_z
Tl1 Tl 0.192 0.045 0.437
H1 H 0.302 0.569 0.444
C1 C 0.057 0.546 0.445
C2 C 0.491 0.584 0.417
O1 O 0.031 0.668 0.298
O2 O 0.169 0.014 0.014
O3 O 0.371 0.644 0.370
O4 O 0.418 0.155 0.164
```

Principal peaks in the range 2θ from 10° to 80°, sorted by position:
17.04 deg, intensity 41, hkl 2 0 0
19.15 deg, intensity 73, hkl 0 1 1
21.48 deg, intensity 62, hkl 1 1 1
24.89 deg, intensity 100, hkl 2 1 -1
31.19 deg, intensity 71, hkl 2 0 -2
33.24 deg, intensity 45, hkl 3 1 1

=====

This entry pairs a crystal structure of Y2Ge6Pd with its simulated powder XRD pattern. Radiation: Cu Ka. Structure: a crystal structure in the Materials Project, relaxed with GGA-PBE.
Neutral-atom scattering factors, no anomalous dispersion.

```
data_Y2Ge6Pd
_chemical_formula_sum 'Y4 Ge12 Pd2'
_symmetry_space_group_name_H-M 'A m m 2'
_symmetry_Int_Tables_number 38
_cell_length_a 4.109
_cell_length_b 4.063
_cell_length_c 22.021
_cell_angle_alpha 90.00
_cell_angle_beta 90.00
_cell_angle_gamma 90.00
loop_
_symmetry_equiv_pos_as_xyz
'x,y,z'
'-x,-y,z'
'-x,y,z'
'x,-y,z'
'x,y+1/2,z+1/2'
'-x,-y+1/2,z+1/2'
'-x,y+1/2,z+1/2'
'x,-y+1/2,z+1/2'
loop_
_atom_site_label
_atom_site_type_symbol
_atom_site_fract_x
_atom_site_fract_y
_atom_site_fract_z
Y1 Y 0.000 0.000 0.000
Y2 Y 0.000 0.000 0.340
Ge1 Ge 0.000 0.000 0.602
Ge2 Ge 0.000 0.000 0.716
Ge3 Ge 0.500 0.000 0.101
Ge4 Ge 0.500 0.000 0.215
Ge5 Ge 0.500 0.000 0.461
Ge6 Ge 0.500 0.000 0.891
Pd1 Pd 0.500 0.000 0.781
```

Principal peaks in the range 2θ from 10° to 80°, sorted by position:
32.72 deg, intensity 19, hkl 1 0 6
33.33 deg, intensity 100, hkl 1 1 3
42.48 deg, intensity 20, hkl 1 1 7
43.16 deg, intensity 17, hkl 0 1 9
44.08 deg, intensity 27, hkl 2 0 0
44.61 deg, intensity 26, hkl 0 2 0

=====

This entry pairs a crystal structure of LuP with its simulated powder XRD pattern. Radiation: Cu Ka. Structure: a crystal structure in the Materials Project, relaxed with GGA-PBE.
Neutral-atom scattering factors, no anomalous dispersion.

```
data_LuP
_chemical_formula_sum 'Lu4 P4'
_symmetry_space_group_name_H-M 'F m -3 m'
_symmetry_Int_Tables_number 225
_symmetry_space_group_name_Hall '-F 4 2 3'
_cell_length_a 5.541
_cell_length_b 5.541
_cell_length_c 5.541
_cell_angle_alpha 90.00
_cell_angle_beta 90.00
_cell_angle_gamma 90.00
loop_
_atom_site_label
_atom_site_type_symbol
_atom_site_fract_x
_atom_site_fract_y
_atom_site_fract_z
Lu1 Lu 0.000 0.000 0.000
P1 P 0.000 0.000 0.500
```

Principal peaks in the range 2θ from 10° to 80°, sorted by position:
27.89 deg, intensity 93, hkl 1 1 1
32.31 deg, intensity 100, hkl 2 0 0
46.35 deg, intensity 73, hkl 2 2 0
54.96 deg, intensity 45, hkl 3 1 1
57.63 deg, intensity 25, hkl 2 2 2
76.96 deg, intensity 33, hkl 4 2 0

=====

This entry pairs a crystal structure of LaNb2CuClO7 with its simulated powder XRD pattern. Radiation: Cu Ka. Structure: a crystal structure in the Materials Project, relaxed with GGA-PBE.
Neutral-atom scattering factors, no anomalous dispersion.

```
data_LaNb2CuClO7
_chemical_formula_sum 'La1 Nb2 Cu1 Cl1 O7'
_symmetry_space_group_name_H-M 'P 4/m m m'
_symmetry_Int_Tables_number 123
_symmetry_space_group_name_Hall '-P 4 2'
_cell_length_a 3.922
_cell_length_b 3.922
_cell_length_c 11.843
_cell_angle_alpha 90.00
_cell_angle_beta 90.00
_cell_angle_gamma 90.00
loop_
_atom_site_label
_atom_site_type_symbol
_atom_site_fract_x
_atom_site_fract_y
_atom_site_fract_z
La1 La 0.000 0.000 0.000
Nb1 Nb 0.500 0.500 0.193
Cu1 Cu 0.500 0.500 0.500
Cl1 Cl 0.000 0.000 0.500
O1 O 0.000 0.500 0.156
O2 O 0.500 0.500 0.000
O3 O 0.500 0.500 0.346
```

Principal peaks in the range 2θ from 10° to 80°, sorted by position:
27.27 deg, intensity 100, hkl 1 0 2
32.17 deg, intensity 90, hkl 1 0 3
32.28 deg, intensity 93, hkl 1 1 0
44.77 deg, intensity 40, hkl 1 1 4
46.30 deg, intensity 56, hkl 2 0 0
57.49 deg, intensity 36, hkl 2 1 3

=====

This entry pairs a crystal structure of ThSbRh with its simulated powder XRD pattern. Radiation: Cu Ka. Structure: a crystal structure in the Materials Project, relaxed with GGA-PBE.
Neutral-atom scattering factors, no anomalous dispersion.

```
data_ThSbRh
_chemical_formula_sum 'Th4 Sb4 Rh4'
_symmetry_space_group_name_H-M 'F -4 3 m'
_symmetry_Int_Tables_number 216
_symmetry_space_group_name_Hall 'F -4 2 3'
_cell_length_a 6.729
_cell_length_b 6.729
_cell_length_c 6.729
_cell_angle_alpha 90.00
_cell_angle_beta 90.00
_cell_angle_gamma 90.00
loop_
_atom_site_label
_atom_site_type_symbol
_atom_site_fract_x
_atom_site_fract_y
_atom_site_fract_z
Th1 Th 0.000 0.000 0.000
Sb1 Sb 0.000 0.000 0.500
Rh1 Rh 0.250 0.250 0.750
```

Principal peaks in the range 2θ from 10° to 80°, sorted by position:
22.89 deg, intensity 26, hkl 1 1 1
26.49 deg, intensity 35, hkl 2 0 0
37.81 deg, intensity 100, hkl 2 2 0
54.55 deg, intensity 17, hkl 4 0 0
61.64 deg, intensity 14, hkl 4 2 0
68.28 deg, intensity 35, hkl 4 2 2

=====

This entry pairs a crystal structure of Cs3Te13Mo12 with its simulated powder XRD pattern. Radiation: Cu Ka. Structure: a crystal structure in the Materials Project, relaxed with GGA-PBE.
Neutral-atom scattering factors, no anomalous dispersion.

```
data_Cs3Te13Mo12
_chemical_formula_sum 'Cs18 Te78 Mo72'
_symmetry_space_group_name_H-M 'R -3'
_symmetry_Int_Tables_number 148
_symmetry_space_group_name_Hall '-R 3'
_cell_length_a 10.5070
_cell_length_b 10.5070
_cell_length_c 53.7649
_cell_angle_alpha 90.00
_cell_angle_beta 90.00
_cell_angle_gamma 120.00
loop_
_atom_site_label
_atom_site_type_symbol
_atom_site_fract_x
_atom_site_fract_y
_atom_site_fract_z
Cs1 Cs 0.0000 0.0000 0.0566
Cs2 Cs 0.0000 0.0000 0.1450
Cs3 Cs 0.0000 0.0000 0.2340
Te1 Te 0.0000 0.0000 0.3068
Te2 Te 0.0041 0.3782 0.2311
Te3 Te 0.0039 0.3797 0.1449
Te4 Te 0.0063 0.3739 0.3159
Te5 Te 0.0099 0.3775 0.0583
Mo1 Mo 0.0152 0.1557 0.6080
Mo2 Mo 0.0178 0.1544 0.3490
Mo3 Mo 0.0184 0.1546 0.4349
Mo4 Mo 0.0196 0.1555 0.5213
```

Principal peaks in the range 2θ from 10° to 80°, sorted by position:
10.26 deg, intensity 21, hkl 0 1 2
26.14 deg, intensity 81, hkl 2 -1 12
29.45 deg, intensity 55, hkl 3 0 0
39.78 deg, intensity 100, hkl 2 2 12
40.24 deg, intensity 51, hkl 0 0 24
47.35 deg, intensity 34, hkl 5 -3 11